[1]
The following is a simulated powder diffractogram of Ba5Sn2S8. It was derived from a cell relaxed with PBE, using Cu Kα X-rays.
Intensities are scaled so that the largest is 1000.

Principal peaks in the range 2θ = 10–80°, sorted by position:
2θ 22.2, d 4.009, rel. 165; 2θ 23.4, d 3.795, rel. 324; 2θ 25.5, d 3.496, rel. 548; 2θ 29.4, d 3.039, rel. 263; 2θ 29.8, d 3.003, rel. 1000; 2θ 33.0, d 2.718, rel. 405; 2θ 36.5, d 2.463, rel. 160; 2θ 47.3, d 1.922, rel. 210; 2θ 47.5, d 1.913, rel. 174; 2θ 50.7, d 1.801, rel. 165

Crystal structure
a b c (Å): 24.052 12.144 12.164
angles (deg): 90.00 90.00 90.00
Space group Cmce (No. 64)
Unique sites:
Ba: 0.096 0.005 0.166 (multiplicity 16)
Ba: 0.097 0.166 0.498 (multiplicity 16)
Ba: 0.250 0.243 0.750 (multiplicity 8)
Sn: 0.000 0.231 0.748 (multiplicity 8)
Sn: 0.250 0.000 0.000 (multiplicity 8)
S: 0.000 0.034 0.648 (multiplicity 8)
S: 0.000 0.152 0.955 (multiplicity 8)
S: 0.115 0.246 0.749 (multiplicity 16)
S: 0.186 0.002 0.349 (multiplicity 16)
S: 0.187 0.151 0.995 (multiplicity 16)

---

[2]
The following is a simulated powder diffractogram of YSe. It was derived from a cell relaxed with PBE, using Cu Kα X-rays.
Intensities are scaled so that the largest is 1000.

Principal peaks in the range 2θ = 10–80°, sorted by position:
2θ 26.7, d 3.338, rel. 9; 2θ 30.9, d 2.891, rel. 1000; 2θ 44.3, d 2.044, rel. 725; 2θ 55.0, d 1.669, rel. 251; 2θ 64.5, d 1.446, rel. 116; 2θ 73.2, d 1.293, rel. 316

Crystal structure
a b c (Å): 5.782 5.782 5.782
angles (deg): 90.00 90.00 90.00
Space group Fm-3m (No. 225)
Unique sites:
Y: 0.000 0.000 0.000 (multiplicity 4)
Se: 0.000 0.000 0.500 (multiplicity 4)

---

[3]
The following is a simulated powder diffractogram of Cs2NaMgF6. It was derived from a cell relaxed with PBE, using Cu Kα X-rays.
Intensities are scaled so that the largest is 1000.

Principal peaks in the range 2θ = 10–80°, sorted by position:
2θ 20.0, d 4.436, rel. 435; 2θ 28.5, d 3.137, rel. 1000; 2θ 35.0, d 2.561, rel. 541; 2θ 40.7, d 2.218, rel. 447; 2θ 45.7, d 1.984, rel. 223; 2θ 50.4, d 1.811, rel. 396; 2θ 58.9, d 1.568, rel. 270; 2θ 62.8, d 1.479, rel. 118; 2θ 66.7, d 1.403, rel. 192; 2θ 70.4, d 1.338, rel. 172

Crystal structure
a b c (Å): 8.872 8.872 8.872
angles (deg): 90.00 90.00 90.00
Space group Fm-3m (No. 225)
Unique sites:
Cs: 0.250 0.250 0.250 (multiplicity 8)
Na: 0.000 0.000 0.000 (multiplicity 4)
Mg: 0.000 0.000 0.500 (multiplicity 4)
F: 0.000 0.000 0.271 (multiplicity 24)

---

[4]
The following is a simulated powder diffractogram of PaTc2Sn. It was derived from a cell relaxed with PBE, using Cu Kα X-rays.
Intensities are scaled so that the largest is 1000.

Principal peaks in the range 2θ = 10–80°, sorted by position:
2θ 23.0, d 3.874, rel. 85; 2θ 26.6, d 3.355, rel. 84; 2θ 37.9, d 2.373, rel. 1000; 2θ 44.8, d 2.023, rel. 46; 2θ 46.9, d 1.937, rel. 28; 2θ 54.7, d 1.678, rel. 175; 2θ 60.1, d 1.540, rel. 19; 2θ 61.8, d 1.501, rel. 39; 2θ 68.5, d 1.370, rel. 358; 2θ 73.3, d 1.291, rel. 14

Crystal structure
a b c (Å): 6.711 6.711 6.711
angles (deg): 90.00 90.00 90.00
Space group Fm-3m (No. 225)
Unique sites:
Pa: 0.000 0.000 0.000 (multiplicity 4)
Tc: 0.250 0.250 0.250 (multiplicity 8)
Sn: 0.000 0.000 0.500 (multiplicity 4)

---

[5]
The following is a simulated powder diffractogram of ZnCu3H6Cl2O6. It was derived from a cell relaxed with PBE, using Cu Kα X-rays.
Intensities are scaled so that the largest is 1000.

Principal peaks in the range 2θ = 10–80°, sorted by position:
2θ 16.0, d 5.550, rel. 1000; 2θ 19.1, d 4.654, rel. 143; 2θ 30.2, d 2.955, rel. 269; 2θ 32.0, d 2.793, rel. 938; 2θ 32.3, d 2.775, rel. 225; 2θ 38.7, d 2.327, rel. 146; 2θ 39.4, d 2.286, rel. 613; 2θ 49.3, d 1.850, rel. 308; 2θ 52.4, d 1.746, rel. 337; 2θ 67.0, d 1.397, rel. 214

Crystal structure
a b c (Å): 6.9834 6.9834 13.9625
angles (deg): 90.00 90.00 120.00
Space group R-3m (No. 166, hexagonal axes)
Unique sites:
Zn: 0.0000 0.0000 0.0000 (multiplicity 3)
Cu: 0.0000 0.5000 0.5000 (multiplicity 9)
H: 0.0667 0.5333 0.2557 (multiplicity 18)
Cl: 0.0000 0.0000 0.3196 (multiplicity 6)
O: 0.0829 0.5414 0.7740 (multiplicity 18)

---

[6]
The following is a simulated powder diffractogram of BaTbEuBiO6. It was derived from a cell relaxed with PBE, using Cu Kα X-rays.
Intensities are scaled so that the largest is 1000.

Principal peaks in the range 2θ = 10–80°, sorted by position:
2θ 17.7, d 5.014, rel. 16; 2θ 20.5, d 4.342, rel. 41; 2θ 29.1, d 3.070, rel. 1000; 2θ 34.2, d 2.618, rel. 10; 2θ 41.6, d 2.171, rel. 281; 2θ 46.8, d 1.942, rel. 19; 2θ 51.6, d 1.773, rel. 420; 2θ 60.3, d 1.535, rel. 181; 2θ 68.3, d 1.373, rel. 186; 2θ 75.9, d 1.253, rel. 61

Crystal structure
a b c (Å): 8.684 8.684 8.684
angles (deg): 90.00 90.00 90.00
Space group F-43m (No. 216)
Unique sites:
Ba: 0.000 0.000 0.000 (multiplicity 4)
Tb: 0.250 0.250 0.750 (multiplicity 4)
Eu: 0.000 0.000 0.500 (multiplicity 4)
Bi: 0.250 0.250 0.250 (multiplicity 4)
O: 0.005 0.250 0.250 (multiplicity 24)

---

[7]
The following is a simulated powder diffractogram of TaPbS2. It was derived from a cell relaxed with PBE, using Cu Kα X-rays.
Intensities are scaled so that the largest is 1000.

Principal peaks in the range 2θ = 10–80°, sorted by position:
2θ 19.7, d 4.508, rel. 943; 2θ 30.6, d 2.923, rel. 279; 2θ 31.0, d 2.885, rel. 383; 2θ 32.2, d 2.780, rel. 1000; 2θ 34.1, d 2.628, rel. 298; 2θ 39.7, d 2.271, rel. 198; 2θ 43.2, d 2.095, rel. 840; 2θ 54.4, d 1.687, rel. 333; 2θ 58.4, d 1.580, rel. 336; 2θ 69.6, d 1.351, rel. 213

Crystal structure
a b c (Å): 3.3748 3.3748 18.0334
angles (deg): 90.00 90.00 120.00
Space group P6_3/mmc (No. 194)
Unique sites:
Ta: 0.3333 0.6667 0.2500 (multiplicity 2)
Pb: 0.0000 0.0000 0.0000 (multiplicity 2)
S: 0.0000 0.0000 0.1642 (multiplicity 4)

---

[8]
The following is a simulated powder diffractogram of LiCeTi4O12. It was derived from a cell relaxed with PBE, using Cu Kα X-rays.
Intensities are scaled so that the largest is 1000.

Principal peaks in the range 2θ = 10–80°, sorted by position:
2θ 11.4, d 7.745, rel. 497; 2θ 16.6, d 5.326, rel. 591; 2θ 20.2, d 4.388, rel. 1000; 2θ 26.2, d 3.396, rel. 288; 2θ 26.4, d 3.378, rel. 250; 2θ 28.5, d 3.132, rel. 284; 2θ 33.1, d 2.705, rel. 327; 2θ 33.2, d 2.695, rel. 470; 2θ 33.7, d 2.663, rel. 430; 2θ 60.0, d 1.542, rel. 216

Crystal structure
a b c (Å): 7.745 7.507 7.557
angles (deg): 90.00 90.00 90.00
Space group Amm2 (No. 38)
Unique sites:
Li: 0.000 0.000 0.000 (multiplicity 2)
Ce: 0.500 0.000 0.543 (multiplicity 2)
Ti: 0.229 0.238 0.270 (multiplicity 8)
O: 0.000 0.192 0.803 (multiplicity 4)
O: 0.187 0.000 0.205 (multiplicity 4)
O: 0.270 0.199 0.520 (multiplicity 8)
O: 0.310 0.000 0.790 (multiplicity 4)
O: 0.500 0.190 0.276 (multiplicity 4)

---

[9]
The following is a simulated powder diffractogram of Ce3Th2O9. It was derived from a cell relaxed with PBE, using Cu Kα X-rays.
Intensities are scaled so that the largest is 1000.

Principal peaks in the range 2θ = 10–80°, sorted by position:
2θ 27.6, d 3.234, rel. 979; 2θ 27.7, d 3.215, rel. 1000; 2θ 32.0, d 2.800, rel. 223; 2θ 32.1, d 2.789, rel. 455; 2θ 45.9, d 1.979, rel. 478; 2θ 46.0, d 1.974, rel. 323; 2θ 46.2, d 1.964, rel. 173; 2θ 54.3, d 1.688, rel. 211; 2θ 54.4, d 1.686, rel. 370; 2θ 54.7, d 1.678, rel. 299

Crystal structure
a b c (Å): 13.152 3.927 9.688
angles (deg): 90.00 119.49 90.00
Space group Cm (No. 8)
Unique sites:
Ce: 0.000 0.000 0.000 (multiplicity 2)
Ce: 0.114 0.500 0.430 (multiplicity 2)
Ce: 0.287 0.500 0.212 (multiplicity 2)
Th: 0.210 0.000 0.826 (multiplicity 2)
Th: 0.408 0.000 0.610 (multiplicity 2)
O: 0.005 0.000 0.761 (multiplicity 2)
O: 0.089 0.500 0.176 (multiplicity 2)
O: 0.114 0.500 0.680 (multiplicity 2)
O: 0.196 0.000 0.064 (multiplicity 2)
O: 0.197 0.000 0.552 (multiplicity 2)
O: 0.309 0.500 0.465 (multiplicity 2)
O: 0.316 0.500 0.988 (multiplicity 2)
O: 0.399 0.000 0.852 (multiplicity 2)
O: 0.416 0.000 0.357 (multiplicity 2)

---

[10]
The following is a simulated powder diffractogram of Mg8B5IN10. It was derived from a cell relaxed with PBE, using Cu Kα X-rays.
Intensities are scaled so that the largest is 1000.

Principal peaks in the range 2θ = 10–80°, sorted by position:
2θ 19.5, d 4.563, rel. 362; 2θ 21.5, d 4.133, rel. 252; 2θ 23.0, d 3.870, rel. 358; 2θ 24.5, d 3.630, rel. 506; 2θ 26.9, d 3.318, rel. 1000; 2θ 28.9, d 3.089, rel. 283; 2θ 29.6, d 3.016, rel. 208; 2θ 32.4, d 2.760, rel. 377; 2θ 33.4, d 2.684, rel. 239; 2θ 37.2, d 2.420, rel. 375

Crystal structure
a b c (Å): 9.390 13.668 11.297
angles (deg): 90.00 90.00 90.00
Space group Imma (No. 74)
Unique sites:
Mg: 0.204 0.250 0.025 (multiplicity 8)
Mg: 0.249 0.000 0.000 (multiplicity 8)
Mg: 0.250 0.066 0.250 (multiplicity 8)
Mg: 0.250 0.145 0.750 (multiplicity 8)
B: 0.000 0.044 0.648 (multiplicity 8)
B: 0.000 0.114 0.100 (multiplicity 8)
B: 0.000 0.250 0.847 (multiplicity 4)
I: 0.000 0.250 0.402 (multiplicity 4)
N: 0.142 0.043 0.650 (multiplicity 16)
N: 0.143 0.115 0.097 (multiplicity 16)
N: 0.143 0.250 0.849 (multiplicity 8)